Diffraction record for LiPuAs2Rh. The powder X-ray diffraction pattern is calculated, not measured: it uses a PBE-relaxed structure and λ = 1.5418 Å (Cu Kα).
Neutral-atom scattering factors, no anomalous dispersion.

Principal peaks in the range 2θ from 15° to 90°, sorted by position:
2θ = 16.57°, intensity 17.3, hkl 0 0 1; 2θ = 21.67°, intensity 19.9, hkl 0 2 1; 2θ = 24.23°, intensity 26.7, hkl 1 1 1; 2θ = 31.39°, intensity 100.0, hkl 1 3 1; 2θ = 32.56°, intensity 20.7, hkl 2 0 0; 2θ = 35.54°, intensity 50.3, hkl 2 2 0; 2θ = 36.41°, intensity 47.1, hkl 0 2 2; 2θ = 42.51°, intensity 65.6, hkl 1 5 1; 2θ = 47.41°, intensity 36.4, hkl 2 0 2; 2θ = 57.36°, intensity 19.3, hkl 3 3 1; 2θ = 64.98°, intensity 18.8, hkl 3 5 1; 2θ = 77.83°, intensity 14.9, hkl 2 8 2

Atomic structure:
Lattice parameters (Å, degrees): 5.5010 12.7772 5.3498 90.00 90.00 90.00
Space group Cmme (No. 67)
Unique sites:
Li 0.0000 0.0000 0.0000 x4
Pu 0.0000 0.2500 0.2316 x4
As 0.0000 0.1391 0.7075 x8
Rh 0.2500 0.0000 0.5000 x4

***

Diffraction record for ErPa2As3. The powder X-ray diffraction pattern is calculated, not measured: it uses a PBE-relaxed structure and λ = 1.5418 Å (Cu Kα).
Neutral-atom scattering factors, no anomalous dispersion.

Principal peaks in the range 2θ from 15° to 90°, sorted by position:
2θ = 26.72°, intensity 38.8, hkl 1 3 0; 2θ = 30.95°, intensity 100.0, hkl 2 0 0; 2θ = 44.34°, intensity 75.3, hkl 2 3 2; 2θ = 52.52°, intensity 19.6, hkl 3 3 0; 2θ = 55.05°, intensity 26.7, hkl 2 6 0; 2θ = 64.50°, intensity 12.5, hkl 4 0 0; 2θ = 71.09°, intensity 6.8, hkl 3 6 2; 2θ = 73.24°, intensity 28.8, hkl 4 3 2; 2θ = 73.35°, intensity 5.8, hkl 0 9 2; 2θ = 81.58°, intensity 17.4, hkl 4 6 0; 2θ = 81.69°, intensity 8.7, hkl 2 9 2; 2θ = 87.81°, intensity 4.2, hkl 3 9 0

Atomic structure:
Lattice parameters (Å, degrees): 5.7840 12.2434 8.1751 90.00 90.00 90.00
Space group P2_1/c (No. 14)
Unique sites:
Er 0.2497 0.0822 0.1235 x4
Pa 0.2497 0.0831 0.6245 x4
Pa 0.2506 0.7496 0.1244 x4
As 0.2494 0.2502 0.3745 x4
As 0.2503 0.5833 0.3753 x4
As 0.2503 0.5825 0.8721 x4